# 1
For Cs4InCl7, the GGA-PBE geometry in Alexandria gives the computed powder XRD pattern in this record (λ = 1.5418 Å (Cu Kα)).

Cell lengths 8.3799, 8.3799, 10.4822 Å; angles 114.21, 114.21, 49.98 degrees
Positions (direct):
Cs 0.1090 0.1090 0.2996
Cs 0.3420 0.3455 0.9918
Cs 0.6545 0.6580 0.0082
Cs 0.8910 0.8910 0.7004
In 0.4841 0.5159 0.5000
Cl 0.1216 0.1259 0.9868
Cl 0.1673 0.5400 0.3371
Cl 0.4224 0.4383 0.6890
Cl 0.4600 0.8327 0.6629
Cl 0.5617 0.5776 0.3110
Cl 0.8258 0.1742 0.5000
Cl 0.8741 0.8784 0.0132

Main lines, sorted by position (2θ from 5° to 70°):
- 2θ 19.4, I = 74
- 2θ 21.2, I = 78
- 2θ 21.6, I = 100
- 2θ 25.2, I = 76
- 2θ 28.9, I = 65
- 2θ 31.9, I = 70
- 2θ 35.5, I = 41
- 2θ 38.5, I = 32
- 2θ 38.6, I = 38
- 2θ 44.0, I = 38

# 2
For InGaF3, the GGA-PBE geometry in Alexandria gives the computed powder XRD pattern in this record (λ = 1.5418 Å (Cu Kα)).

Cell lengths 7.1483, 7.1483, 3.6517 Å; angles 90.00, 90.00, 105.62 degrees
Positions (direct):
In 0.1744 0.8256 0.7500
In 0.8256 0.1744 0.2500
Ga 0.3869 0.3869 0.5000
Ga 0.6131 0.6131 0.0000
F 0.1452 0.3414 0.7185
F 0.3399 0.6601 0.2500
F 0.3414 0.1452 0.2815
F 0.6586 0.8548 0.7815
F 0.6601 0.3399 0.7500
F 0.8548 0.6586 0.2185

Main lines, sorted by position (2θ from 5° to 70°):
- 2θ 20.6, I = 43
- 2θ 25.6, I = 100
- 2θ 25.9, I = 27
- 2θ 27.7, I = 74
- 2θ 32.1, I = 28
- 2θ 35.9, I = 100
- 2θ 40.2, I = 29
- 2θ 40.7, I = 29
- 2θ 45.5, I = 29
- 2θ 52.7, I = 28

# 3
For SrLi2NdSn2, the GGA-PBE geometry in Alexandria gives the computed powder XRD pattern in this record (λ = 1.5418 Å (Cu Kα)).

Cell lengths 4.8987, 4.8987, 7.8984 Å; angles 90.00, 90.00, 120.00 degrees
Positions (direct):
Sr 0.0000 0.0000 0.0000
Li 0.3333 0.6667 0.7054
Li 0.6667 0.3333 0.2946
Nd 0.0000 0.0000 0.5000
Sn 0.3333 0.6667 0.2840
Sn 0.6667 0.3333 0.7160

Main lines, sorted by position (2θ from 5° to 70°):
- 2θ 11.2, I = 17
- 2θ 20.9, I = 12
- 2θ 23.8, I = 59
- 2θ 30.9, I = 100
- 2θ 36.7, I = 59
- 2θ 40.3, I = 17
- 2θ 44.2, I = 12
- 2θ 48.7, I = 28
- 2θ 60.2, I = 19
- 2θ 62.5, I = 27

# 4
For Tm3Zr4, the GGA-PBE geometry in Alexandria gives the computed powder XRD pattern in this record (λ = 1.5418 Å (Cu Kα)).

Cell lengths 8.9037, 8.9037, 5.2783 Å; angles 90.00, 90.00, 120.00 degrees
Positions (direct):
Tm 0.0541 0.8020 0.2500
Tm 0.1980 0.2521 0.2500
Tm 0.2521 0.0541 0.7500
Tm 0.7479 0.9459 0.2500
Tm 0.8020 0.7479 0.7500
Tm 0.9459 0.1980 0.7500
Zr 0.1042 0.6110 0.7500
Zr 0.3333 0.6667 0.2500
Zr 0.3890 0.4932 0.7500
Zr 0.4932 0.1042 0.2500
Zr 0.5068 0.8958 0.7500
Zr 0.6110 0.5068 0.2500
Zr 0.6667 0.3333 0.7500
Zr 0.8958 0.3890 0.2500

Main lines, sorted by position (2θ from 5° to 70°):
- 2θ 11.5, I = 6
- 2θ 26.2, I = 7
- 2θ 30.7, I = 24
- 2θ 34.0, I = 25
- 2θ 35.2, I = 100
- 2θ 46.4, I = 15
- 2θ 54.5, I = 18
- 2θ 61.6, I = 19
- 2θ 65.8, I = 20
- 2θ 66.6, I = 14

# 5
For Fe3PdBr9, the GGA-PBE geometry in Alexandria gives the computed powder XRD pattern in this record (λ = 1.5418 Å (Cu Kα)).

Cell lengths 10.1066, 10.1066, 13.0870 Å; angles 123.72, 123.72, 57.49 degrees
Positions (direct):
Fe 0.0487 0.9513 0.5000
Fe 0.3238 0.5496 0.6552
Fe 0.4993 0.7718 0.4612
Fe 0.5496 0.3238 0.1552
Fe 0.7718 0.4993 0.9612
Fe 0.9513 0.0487 0.0000
Pd 0.0817 0.4684 0.7870
Pd 0.4684 0.0817 0.2870
Br 0.0379 0.7733 0.8455
Br 0.0628 0.7478 0.5554
Br 0.1099 0.1654 0.7126
Br 0.1654 0.1099 0.2126
Br 0.1981 0.8082 0.3489
Br 0.2275 0.3646 0.6364
Br 0.3646 0.2275 0.1364
Br 0.4053 0.4985 0.0393
Br 0.4822 0.6919 0.8858
Br 0.4985 0.4053 0.5393
Br 0.5585 0.8460 0.6790
Br 0.5716 0.9454 0.4446
Br 0.6919 0.4822 0.3858
Br 0.7478 0.0628 0.0554
Br 0.7733 0.0379 0.3455
Br 0.8082 0.1981 0.8489
Br 0.8460 0.5585 0.1790
Br 0.9454 0.5716 0.9446

Main lines, sorted by position (2θ from 5° to 70°):
- 2θ 16.5, I = 100
- 2θ 18.3, I = 39
- 2θ 20.3, I = 36
- 2θ 24.1, I = 35
- 2θ 27.0, I = 87
- 2θ 27.3, I = 26
- 2θ 27.6, I = 35
- 2θ 28.3, I = 48
- 2θ 28.9, I = 45
- 2θ 29.0, I = 34

# 6
For Sr3Si2GePt9, the GGA-PBE geometry in Alexandria gives the computed powder XRD pattern in this record (λ = 1.5418 Å (Cu Kα)).

Cell lengths 6.4040, 6.4040, 8.9233 Å; angles 90.00, 90.00, 120.00 degrees
Positions (direct):
Sr 0.0000 0.0000 0.0000
Sr 0.3333 0.6667 0.6504
Sr 0.6667 0.3333 0.3496
Si 0.3333 0.6667 0.1763
Si 0.6667 0.3333 0.8237
Ge 0.0000 0.0000 0.5000
Pt 0.0000 0.5000 0.0000
Pt 0.1451 0.2903 0.2856
Pt 0.1451 0.8549 0.2856
Pt 0.2903 0.1451 0.7144
Pt 0.5000 0.0000 0.0000
Pt 0.5000 0.5000 0.0000
Pt 0.7097 0.8549 0.2856
Pt 0.8549 0.1451 0.7144
Pt 0.8549 0.7097 0.7144

Main lines, sorted by position (2θ from 5° to 70°):
- 2θ 18.8, I = 20
- 2θ 25.6, I = 14
- 2θ 30.0, I = 30
- 2θ 33.9, I = 100
- 2θ 38.2, I = 91
- 2θ 44.7, I = 15
- 2θ 52.7, I = 19
- 2θ 57.6, I = 26
- 2θ 61.8, I = 14
- 2θ 66.3, I = 15

# 7
For Tb2Ho4Tl, the GGA-PBE geometry in Alexandria gives the computed powder XRD pattern in this record (λ = 1.5418 Å (Cu Kα)).

Cell lengths 5.7836, 6.6619, 11.4081 Å; angles 90.00, 103.44, 90.00 degrees
Positions (direct):
Tb 0.0532 0.2500 0.4778
Tb 0.3298 0.7500 0.0676
Tb 0.6702 0.2500 0.9324
Tb 0.9468 0.7500 0.5222
Ho 0.1646 0.0096 0.7890
Ho 0.1646 0.4904 0.7890
Ho 0.2226 0.2500 0.0723
Ho 0.3789 0.7500 0.3661
Ho 0.6211 0.2500 0.6339
Ho 0.7774 0.7500 0.9277
Ho 0.8354 0.5096 0.2110
Ho 0.8354 0.9904 0.2110
Tl 0.4815 0.2500 0.3457
Tl 0.5185 0.7500 0.6543

Main lines, sorted by position (2θ from 5° to 70°):
- 2θ 26.8, I = 32
- 2θ 30.9, I = 74
- 2θ 31.3, I = 58
- 2θ 31.3, I = 49
- 2θ 31.9, I = 100
- 2θ 32.5, I = 76
- 2θ 33.2, I = 41
- 2θ 33.4, I = 42
- 2θ 55.3, I = 26
- 2θ 65.1, I = 29

# 8
For Li5Ag2, the GGA-PBE geometry in Alexandria gives the computed powder XRD pattern in this record (λ = 1.5418 Å (Cu Kα)).

Cell lengths 7.0916, 7.0916, 7.0916 Å; angles 38.00, 38.00, 38.00 degrees
Positions (direct):
Li 0.0000 0.0000 0.0000
Li 0.2738 0.2738 0.2738
Li 0.4326 0.4326 0.4326
Li 0.5674 0.5674 0.5674
Li 0.7262 0.7262 0.7262
Ag 0.1366 0.1366 0.1366
Ag 0.8634 0.8634 0.8634

Main lines, sorted by position (2θ from 5° to 70°):
- 2θ 13.5, I = 100
- 2θ 22.7, I = 55
- 2θ 28.7, I = 63
- 2θ 39.0, I = 41
- 2θ 39.1, I = 38
- 2θ 41.4, I = 37
- 2θ 43.1, I = 17
- 2θ 49.2, I = 14
- 2θ 56.4, I = 12
- 2θ 64.5, I = 11

# 9
For Cs2SnCl5F, the GGA-PBE geometry in Alexandria gives the computed powder XRD pattern in this record (λ = 1.5418 Å (Cu Kα)).

Cell lengths 7.5231, 7.5231, 7.5231 Å; angles 120.93, 120.93, 88.40 degrees
Positions (direct):
Cs 0.0000 0.5000 0.5000
Cs 0.5000 0.0000 0.5000
Sn 0.2500 0.2500 0.0000
Cl 0.0112 0.0112 0.5284
Cl 0.0112 0.4828 0.0000
Cl 0.4791 0.4791 0.0000
Cl 0.4828 0.0112 0.0000
Cl 0.4828 0.4828 0.4716
F 0.0634 0.0634 0.0000

Main lines, sorted by position (2θ from 5° to 70°):
- 2θ 14.5, I = 63
- 2θ 23.7, I = 100
- 2θ 24.0, I = 37
- 2θ 29.2, I = 60
- 2θ 33.2, I = 29
- 2θ 34.2, I = 59
- 2θ 42.0, I = 44
- 2θ 48.4, I = 38
- 2θ 49.1, I = 20
- 2θ 60.6, I = 19

# 10
For Ce2Ga7Ni, the GGA-PBE geometry in Alexandria gives the computed powder XRD pattern in this record (λ = 1.5418 Å (Cu Kα)).

Cell lengths 4.2879, 4.2879, 10.3787 Å; angles 90.00, 90.00, 90.00 degrees
Positions (direct):
Ce 0.0000 0.5000 0.2387
Ce 0.5000 0.0000 0.7613
Ga 0.0000 0.0000 0.0000
Ga 0.0000 0.0000 0.5000
Ga 0.0000 0.5000 0.6416
Ga 0.0000 0.5000 0.8785
Ga 0.5000 0.0000 0.1215
Ga 0.5000 0.0000 0.3584
Ga 0.5000 0.5000 0.5000
Ni 0.5000 0.5000 0.0000

Main lines, sorted by position (2θ from 5° to 70°):
- 2θ 29.5, I = 18
- 2θ 33.3, I = 64
- 2θ 34.3, I = 100
- 2θ 42.1, I = 60
- 2θ 46.0, I = 11
- 2θ 48.7, I = 26
- 2θ 54.7, I = 30
- 2θ 61.1, I = 19
- 2θ 61.7, I = 11
- 2θ 66.4, I = 20

# 11
For Nd3ZnOs, the GGA-PBE geometry in Alexandria gives the computed powder XRD pattern in this record (λ = 1.5418 Å (Cu Kα)).

Cell lengths 9.4488, 8.6776, 5.9655 Å; angles 77.95, 63.92, 38.13 degrees
Positions (direct):
Nd 0.1975 0.1975 0.8025
Nd 0.2072 0.5827 0.4173
Nd 0.4173 0.7928 0.2072
Nd 0.5827 0.2072 0.7928
Nd 0.7928 0.4173 0.5827
Nd 0.8025 0.8025 0.1975
Zn 0.1901 0.8099 0.8099
Zn 0.8099 0.1901 0.1901
Os 0.2500 0.2500 0.2500
Os 0.7500 0.7500 0.7500

Main lines, sorted by position (2θ from 5° to 70°):
- 2θ 11.0, I = 44
- 2θ 17.8, I = 19
- 2θ 30.7, I = 54
- 2θ 32.3, I = 46
- 2θ 34.6, I = 100
- 2θ 35.3, I = 48
- 2θ 36.1, I = 18
- 2θ 38.2, I = 39
- 2θ 39.8, I = 41
- 2θ 56.1, I = 23

# 12
For Cs4Sn3F10, the GGA-PBE geometry in Alexandria gives the computed powder XRD pattern in this record (λ = 1.5418 Å (Cu Kα)).

Cell lengths 17.9477, 17.9477, 17.9477 Å; angles 164.74, 164.74, 21.64 degrees
Positions (direct):
Cs 0.0669 0.0669 0.0000
Cs 0.2070 0.2070 0.0000
Cs 0.7930 0.7930 0.0000
Cs 0.9331 0.9331 0.0000
Sn 0.3556 0.3556 0.0000
Sn 0.5000 0.5000 0.0000
Sn 0.6444 0.6444 0.0000
F 0.0000 0.5000 0.5000
F 0.1517 0.6517 0.5000
F 0.2928 0.2928 0.0000
F 0.3483 0.8483 0.5000
F 0.4324 0.4324 0.0000
F 0.5000 0.0000 0.5000
F 0.5676 0.5676 0.0000
F 0.6517 0.1517 0.5000
F 0.7072 0.7072 0.0000
F 0.8483 0.3483 0.5000

Main lines, sorted by position (2θ from 5° to 70°):
- 2θ 25.7, I = 100
- 2θ 26.4, I = 54
- 2θ 35.7, I = 17
- 2θ 37.8, I = 35
- 2θ 44.9, I = 22
- 2θ 46.3, I = 42
- 2θ 52.9, I = 21
- 2θ 54.5, I = 11
- 2θ 61.5, I = 10
- 2θ 66.8, I = 10

# 13
For AcSm2In2, the GGA-PBE geometry in Alexandria gives the computed powder XRD pattern in this record (λ = 1.5418 Å (Cu Kα)).

Cell lengths 3.6406, 24.4570, 3.6587 Å; angles 90.00, 90.00, 90.00 degrees
Positions (direct):
Ac 0.0000 0.0000 0.0000
Ac 0.5000 0.5000 0.0000
Sm 0.0000 0.1845 0.0000
Sm 0.0000 0.8155 0.0000
Sm 0.5000 0.3155 0.0000
Sm 0.5000 0.6845 0.0000
In 0.0000 0.3995 0.5000
In 0.0000 0.6006 0.5000
In 0.5000 0.1006 0.5000
In 0.5000 0.8994 0.5000

Main lines, sorted by position (2θ from 5° to 70°):
- 2θ 7.2, I = 17
- 2θ 21.8, I = 16
- 2θ 28.4, I = 35
- 2θ 30.6, I = 100
- 2θ 32.9, I = 66
- 2θ 35.0, I = 76
- 2θ 36.7, I = 23
- 2θ 54.5, I = 37
- 2θ 59.6, I = 30
- 2θ 61.3, I = 22